For Th2Se3Cl, a DFT-relaxed cell (GGA-PBE, Alexandria) gives the theoretical powder XRD pattern in this record (a wavelength of 1.5418 Å).

Structural model:
a b c (Å): 9.4424 9.4424 14.1322
angles (deg): 90.00 90.00 90.00
Space group I4_1/amd (No. 141, origin choice 2)
Symmetry-distinct sites (fractional):
Th: 0.0000 0.0322 0.2760 [16 per cell]
Se: 0.0000 0.0000 0.5000 [8 per cell]
Se: 0.2071 0.0429 0.8750 [16 per cell]
Cl: 0.0000 0.2500 0.0699 [8 per cell]

Principal peaks in the range 10 to 90 degrees two-theta, low angle first:
- 11.27 deg, rel. 30
- 22.65 deg, rel. 100
- 26.70 deg, rel. 36
- 33.08 deg, rel. 31
- 34.26 deg, rel. 27
- 34.84 deg, rel. 50
- 37.05 deg, rel. 77
- 38.12 deg, rel. 41